Record 1
Simulated X-ray diffraction stick pattern of BeTl2Zn for Cu Ka, from a crystal structure in OQMD, relaxed with PBE.
No peak broadening, texture or thermal motion is included.

Top 10 peaks for 2θ from 10° to 90°, in order of rising 2θ:
- 2θ = 27.24°, 3.274 Å, intensity 36.7
- 2θ = 27.39°, 3.257 Å, intensity 35.8
- 2θ = 27.59°, 3.234 Å, intensity 68.5
- 2θ = 31.70°, 2.822 Å, intensity 54.7
- 2θ = 31.84°, 2.810 Å, intensity 100.0
- 2θ = 45.50°, 1.994 Å, intensity 37.0
- 2θ = 45.61°, 1.989 Å, intensity 20.1
- 2θ = 45.93°, 1.976 Å, intensity 16.7
- 2θ = 54.15°, 1.694 Å, intensity 27.3
- 2θ = 56.96°, 1.617 Å, intensity 17.7

Structural model:
```
data_BeTl2Zn
_chemical_formula_sum 'Be2 Tl4 Zn2'
_space_group_name_H-M_alt 'P 1'
_space_group_IT_number 1
_space_group_name_Hall 'P 1'
_cell_length_a 5.6168
_cell_length_b 5.6238
_cell_length_c 5.6451
_cell_angle_alpha 89.83
_cell_angle_beta 89.15
_cell_angle_gamma 89.70
loop_
_atom_site_label
_atom_site_fract_x
_atom_site_fract_y
_atom_site_fract_z
Be1 0.9997 0.2497 0.2464
Be2 0.0003 0.7503 0.7536
Tl1 0.0488 0.7495 0.2515
Tl2 0.4997 0.2523 0.2318
Tl3 0.5003 0.7477 0.7682
Tl4 0.9512 0.2505 0.7485
Zn1 0.4451 0.2477 0.7300
Zn2 0.5549 0.7523 0.2700
```

Record 2
Simulated X-ray diffraction stick pattern of TmBe for Cu Ka, from a crystal structure in OQMD, relaxed with PBE.
No peak broadening, texture or thermal motion is included.

Top 9 peaks for 2θ from 10° to 90°, in order of rising 2θ:
- 2θ = 27.69°, 3.222 Å, intensity 100.0
- 2θ = 32.08°, 2.790 Å, intensity 60.0
- 2θ = 46.00°, 1.973 Å, intensity 44.2
- 2θ = 54.54°, 1.683 Å, intensity 46.9
- 2θ = 57.18°, 1.611 Å, intensity 15.5
- 2θ = 67.09°, 1.395 Å, intensity 7.2
- 2θ = 74.05°, 1.280 Å, intensity 18.9
- 2θ = 76.32°, 1.248 Å, intensity 20.1
- 2θ = 85.19°, 1.139 Å, intensity 15.4

Structural model:
```
data_TmBe
_chemical_formula_sum 'Tm4 Be4'
_space_group_name_H-M_alt 'P 1'
_space_group_IT_number 1
_space_group_name_Hall 'P 1'
_cell_length_a 5.5803
_cell_length_b 5.5803
_cell_length_c 5.5803
_cell_angle_alpha 90.00
_cell_angle_beta 90.00
_cell_angle_gamma 90.00
loop_
_atom_site_label
_atom_site_fract_x
_atom_site_fract_y
_atom_site_fract_z
Tm1 0.0000 0.0000 0.0000
Tm2 0.0000 0.5000 0.5000
Tm3 0.5000 0.0000 0.5000
Tm4 0.5000 0.5000 0.0000
Be1 0.0000 0.0000 0.5000
Be2 0.0000 0.5000 0.0000
Be3 0.5000 0.0000 0.0000
Be4 0.5000 0.5000 0.5000
```

Record 3
Simulated X-ray diffraction stick pattern of Tm5Be for Cu Ka, from a crystal structure in OQMD, relaxed with PBE.
No peak broadening, texture or thermal motion is included.

Top 10 peaks for 2θ from 10° to 90°, in order of rising 2θ:
- 2θ = 16.54°, 5.359 Å, intensity 89.2
- 2θ = 31.64°, 2.828 Å, intensity 41.2
- 2θ = 33.00°, 2.714 Å, intensity 80.5
- 2θ = 33.44°, 2.679 Å, intensity 17.5
- 2θ = 35.91°, 2.501 Å, intensity 26.9
- 2θ = 37.13°, 2.421 Å, intensity 100.0
- 2θ = 53.82°, 1.703 Å, intensity 20.3
- 2θ = 59.78°, 1.547 Å, intensity 20.4
- 2θ = 60.01°, 1.542 Å, intensity 25.0
- 2θ = 69.23°, 1.357 Å, intensity 26.3

Structural model:
```
data_Tm5Be
_chemical_formula_sum 'Tm5 Be1'
_space_group_name_H-M_alt 'P 1'
_space_group_IT_number 1
_space_group_name_Hall 'P 1'
_cell_length_a 6.1878
_cell_length_b 6.1878
_cell_length_c 5.6551
_cell_angle_alpha 90.00
_cell_angle_beta 90.00
_cell_angle_gamma 120.00
loop_
_atom_site_label
_atom_site_fract_x
_atom_site_fract_y
_atom_site_fract_z
Tm1 0.0000 0.5000 0.0000
Tm2 0.3333 0.6667 0.5000
Tm3 0.5000 0.0000 0.0000
Tm4 0.5000 0.5000 0.0000
Tm5 0.6667 0.3333 0.5000
Be1 0.0000 0.0000 0.5000
```

Record 4
Simulated X-ray diffraction stick pattern of TmBe12 for Cu Ka, from a crystal structure in OQMD, relaxed with PBE.
No peak broadening, texture or thermal motion is included.

Top 10 peaks for 2θ from 10° to 90°, in order of rising 2θ:
- 2θ = 16.41°, 5.402 Å, intensity 100.0
- 2θ = 23.29°, 3.819 Å, intensity 43.8
- 2θ = 24.18°, 3.681 Å, intensity 87.5
- 2θ = 33.17°, 2.701 Å, intensity 20.9
- 2θ = 33.82°, 2.650 Å, intensity 84.7
- 2θ = 37.22°, 2.416 Å, intensity 33.0
- 2θ = 41.47°, 2.177 Å, intensity 28.6
- 2θ = 48.10°, 1.892 Å, intensity 40.8
- 2θ = 49.53°, 1.840 Å, intensity 20.6
- 2θ = 64.95°, 1.436 Å, intensity 18.2

Structural model:
```
data_TmBe12
_chemical_formula_sum 'Tm1 Be12'
_space_group_name_H-M_alt 'P 1'
_space_group_IT_number 1
_space_group_name_Hall 'P 1'
_cell_length_a 5.7954
_cell_length_b 5.7954
_cell_length_c 5.7954
_cell_angle_alpha 97.55
_cell_angle_beta 97.55
_cell_angle_gamma 137.51
loop_
_atom_site_label
_atom_site_fract_x
_atom_site_fract_y
_atom_site_fract_z
Tm1 0.0000 0.0000 0.0000
Be1 0.0000 0.0000 0.5000
Be2 0.0000 0.3569 0.3569
Be3 0.0000 0.5000 0.0000
Be4 0.0000 0.6431 0.6431
Be5 0.2679 0.5000 0.7679
Be6 0.3569 0.0000 0.3569
Be7 0.5000 0.0000 0.0000
Be8 0.5000 0.2679 0.7679
Be9 0.5000 0.5000 0.5000
Be10 0.5000 0.7321 0.2321
Be11 0.6431 0.0000 0.6431
Be12 0.7321 0.5000 0.2321
```

Record 5
Simulated X-ray diffraction stick pattern of TmBe4 for Cu Ka, from a crystal structure in OQMD, relaxed with PBE.
No peak broadening, texture or thermal motion is included.

Top 10 peaks for 2θ from 10° to 90°, in order of rising 2θ:
- 2θ = 13.48°, 6.567 Å, intensity 69.3
- 2θ = 20.28°, 4.378 Å, intensity 51.3
- 2θ = 29.38°, 3.040 Å, intensity 100.0
- 2θ = 31.71°, 2.822 Å, intensity 43.8
- 2θ = 34.13°, 2.627 Å, intensity 20.1
- 2θ = 39.82°, 2.264 Å, intensity 51.2
- 2θ = 40.84°, 2.209 Å, intensity 20.7
- 2θ = 43.20°, 2.094 Å, intensity 22.2
- 2θ = 46.01°, 1.973 Å, intensity 34.9
- 2θ = 67.39°, 1.390 Å, intensity 19.0

Structural model:
```
data_TmBe4
_chemical_formula_sum 'Tm2 Be8'
_space_group_name_H-M_alt 'P 1'
_space_group_IT_number 1
_space_group_name_Hall 'P 1'
_cell_length_a 3.1247
_cell_length_b 3.1247
_cell_length_c 13.1338
_cell_angle_alpha 90.00
_cell_angle_beta 90.00
_cell_angle_gamma 90.00
loop_
_atom_site_label
_atom_site_fract_x
_atom_site_fract_y
_atom_site_fract_z
Tm1 0.2500 0.2500 0.1903
Tm2 0.7500 0.7500 0.8097
Be1 0.2500 0.2500 0.4976
Be2 0.2500 0.7500 0.0000
Be3 0.2500 0.7500 0.3819
Be4 0.2500 0.7500 0.6181
Be5 0.7500 0.2500 0.0000
Be6 0.7500 0.2500 0.3819
Be7 0.7500 0.2500 0.6181
Be8 0.7500 0.7500 0.5024
```

Record 6
Simulated X-ray diffraction stick pattern of BeW for Cu Ka, from a crystal structure in OQMD, relaxed with PBE.
No peak broadening, texture or thermal motion is included.

Top 10 peaks for 2θ from 10° to 90°, in order of rising 2θ:
- 2θ = 21.60°, 4.114 Å, intensity 80.5
- 2θ = 37.98°, 2.369 Å, intensity 60.6
- 2θ = 44.10°, 2.054 Å, intensity 100.0
- 2θ = 59.51°, 1.553 Å, intensity 33.3
- 2θ = 68.40°, 1.371 Å, intensity 3.5
- 2θ = 68.61°, 1.368 Å, intensity 12.0
- 2θ = 72.88°, 1.298 Å, intensity 17.7
- 2θ = 81.01°, 1.187 Å, intensity 14.9
- 2θ = 81.21°, 1.185 Å, intensity 6.9
- 2θ = 85.22°, 1.139 Å, intensity 27.0

Structural model:
```
data_BeW
_chemical_formula_sum 'Be1 W1'
_space_group_name_H-M_alt 'P 1'
_space_group_IT_number 1
_space_group_name_Hall 'P 1'
_cell_length_a 2.7356
_cell_length_b 2.7356
_cell_length_c 4.1144
_cell_angle_alpha 90.00
_cell_angle_beta 90.00
_cell_angle_gamma 120.00
loop_
_atom_site_label
_atom_site_fract_x
_atom_site_fract_y
_atom_site_fract_z
Be1 0.0000 0.0000 0.0000
W1 0.6667 0.3333 0.5000
```

Record 7
Simulated X-ray diffraction stick pattern of Be4Zn for Cu Ka, from a crystal structure in OQMD, relaxed with PBE.
No peak broadening, texture or thermal motion is included.

Top 10 peaks for 2θ from 10° to 90°, in order of rising 2θ:
- 2θ = 10.94°, 8.084 Å, intensity 24.2
- 2θ = 27.20°, 3.278 Å, intensity 100.0
- 2θ = 33.25°, 2.695 Å, intensity 12.2
- 2θ = 33.40°, 2.683 Å, intensity 45.7
- 2θ = 35.39°, 2.536 Å, intensity 21.3
- 2θ = 49.35°, 1.847 Å, intensity 39.5
- 2θ = 50.92°, 1.793 Å, intensity 18.5
- 2θ = 51.93°, 1.761 Å, intensity 18.8
- 2θ = 58.68°, 1.573 Å, intensity 21.6
- 2θ = 62.24°, 1.492 Å, intensity 21.6

Structural model:
```
data_Be4Zn
_chemical_formula_sum 'Be8 Zn2'
_space_group_name_H-M_alt 'P 1'
_space_group_IT_number 1
_space_group_name_Hall 'P 1'
_cell_length_a 3.5865
_cell_length_b 3.5865
_cell_length_c 8.0838
_cell_angle_alpha 90.00
_cell_angle_beta 90.00
_cell_angle_gamma 90.00
loop_
_atom_site_label
_atom_site_fract_x
_atom_site_fract_y
_atom_site_fract_z
Be1 0.2500 0.2500 0.0095
Be2 0.2500 0.7500 0.1523
Be3 0.2500 0.7500 0.5000
Be4 0.2500 0.7500 0.8477
Be5 0.7500 0.2500 0.1523
Be6 0.7500 0.2500 0.5000
Be7 0.7500 0.2500 0.8477
Be8 0.7500 0.7500 0.9905
Zn1 0.2500 0.2500 0.3245
Zn2 0.7500 0.7500 0.6755
```

Record 8
Simulated X-ray diffraction stick pattern of Zr2Be7 for Cu Ka, from a crystal structure in OQMD, relaxed with PBE.
No peak broadening, texture or thermal motion is included.

Top 10 peaks for 2θ from 10° to 90°, in order of rising 2θ:
- 2θ = 22.05°, 4.030 Å, intensity 51.6
- 2θ = 22.44°, 3.963 Å, intensity 81.6
- 2θ = 24.61°, 3.617 Å, intensity 32.7
- 2θ = 33.28°, 2.692 Å, intensity 25.8
- 2θ = 36.57°, 2.457 Å, intensity 100.0
- 2θ = 38.70°, 2.327 Å, intensity 66.1
- 2θ = 45.19°, 2.007 Å, intensity 21.0
- 2θ = 46.40°, 1.957 Å, intensity 56.1
- 2θ = 54.29°, 1.690 Å, intensity 21.8
- 2θ = 68.65°, 1.367 Å, intensity 29.9

Structural model:
```
data_Zr2Be7
_chemical_formula_sum 'Zr8 Be28'
_space_group_name_H-M_alt 'P 1'
_space_group_IT_number 1
_space_group_name_Hall 'P 1'
_cell_length_a 4.6539
_cell_length_b 4.6539
_cell_length_c 21.7003
_cell_angle_alpha 90.00
_cell_angle_beta 90.00
_cell_angle_gamma 120.00
loop_
_atom_site_label
_atom_site_fract_x
_atom_site_fract_y
_atom_site_fract_z
Zr1 0.3333 0.6667 0.0264
Zr2 0.3333 0.6667 0.1738
Zr3 0.3333 0.6667 0.3262
Zr4 0.3333 0.6667 0.4736
Zr5 0.6667 0.3333 0.5264
Zr6 0.6667 0.3333 0.6738
Zr7 0.6667 0.3333 0.8262
Zr8 0.6667 0.3333 0.9736
Be1 0.0000 0.0000 0.0000
Be2 0.0000 0.0000 0.1699
Be3 0.0000 0.0000 0.3301
Be4 0.0000 0.0000 0.5000
Be5 0.0000 0.0000 0.6699
Be6 0.0000 0.0000 0.8301
Be7 0.1659 0.3319 0.7500
Be8 0.1663 0.3326 0.5903
Be9 0.1663 0.3326 0.9097
Be10 0.1663 0.8337 0.5903
Be11 0.1659 0.8341 0.7500
Be12 0.1663 0.8337 0.9097
Be13 0.3319 0.1659 0.2500
Be14 0.3326 0.1663 0.0903
Be15 0.3326 0.1663 0.4097
Be16 0.3333 0.6667 0.6707
Be17 0.3333 0.6667 0.8293
Be18 0.6667 0.3333 0.1707
Be19 0.6667 0.3333 0.3293
Be20 0.6674 0.8337 0.5903
Be21 0.6674 0.8337 0.9097
Be22 0.6681 0.8341 0.7500
Be23 0.8337 0.1663 0.0903
Be24 0.8341 0.1659 0.2500
Be25 0.8337 0.1663 0.4097
Be26 0.8337 0.6674 0.0903
Be27 0.8337 0.6674 0.4097
Be28 0.8341 0.6681 0.2500
```

Record 9
Simulated X-ray diffraction stick pattern of Zr4Be3 for Cu Ka, from a crystal structure in OQMD, relaxed with PBE.
No peak broadening, texture or thermal motion is included.

Top 10 peaks for 2θ from 10° to 90°, in order of rising 2θ:
- 2θ = 24.93°, 3.572 Å, intensity 19.6
- 2θ = 25.05°, 3.555 Å, intensity 36.4
- 2θ = 30.70°, 2.912 Å, intensity 82.6
- 2θ = 33.30°, 2.691 Å, intensity 72.4
- 2θ = 37.97°, 2.370 Å, intensity 26.1
- 2θ = 40.03°, 2.253 Å, intensity 100.0
- 2θ = 43.83°, 2.066 Å, intensity 24.6
- 2θ = 51.39°, 1.778 Å, intensity 19.8
- 2θ = 56.16°, 1.638 Å, intensity 17.3
- 2θ = 61.08°, 1.517 Å, intensity 31.7

Structural model:
```
data_Zr4Be3
_chemical_formula_sum 'Zr8 Be6'
_space_group_name_H-M_alt 'P 1'
_space_group_IT_number 1
_space_group_name_Hall 'P 1'
_cell_length_a 8.2099
_cell_length_b 8.2099
_cell_length_c 4.1313
_cell_angle_alpha 90.00
_cell_angle_beta 90.00
_cell_angle_gamma 120.00
loop_
_atom_site_label
_atom_site_fract_x
_atom_site_fract_y
_atom_site_fract_z
Zr1 0.0178 0.2610 0.2500
Zr2 0.2433 0.9822 0.2500
Zr3 0.2610 0.2433 0.7500
Zr4 0.3333 0.6667 0.7500
Zr5 0.6667 0.3333 0.2500
Zr6 0.7390 0.7567 0.2500
Zr7 0.7567 0.0178 0.7500
Zr8 0.9822 0.7390 0.7500
Be1 0.0562 0.5963 0.2500
Be2 0.4037 0.4599 0.2500
Be3 0.4599 0.0562 0.7500
Be4 0.5401 0.9438 0.2500
Be5 0.5963 0.5401 0.7500
Be6 0.9438 0.4037 0.7500
```

Record 10
Simulated X-ray diffraction stick pattern of Zr2Be3 for Cu Ka, from a crystal structure in OQMD, relaxed with PBE.
No peak broadening, texture or thermal motion is included.

Top 10 peaks for 2θ from 10° to 90°, in order of rising 2θ:
- 2θ = 19.24°, 4.614 Å, intensity 25.8
- 2θ = 23.17°, 3.839 Å, intensity 42.5
- 2θ = 25.68°, 3.469 Å, intensity 52.4
- 2θ = 34.23°, 2.620 Å, intensity 100.0
- 2θ = 37.85°, 2.377 Å, intensity 80.2
- 2θ = 40.51°, 2.227 Å, intensity 21.8
- 2θ = 43.89°, 2.063 Å, intensity 29.3
- 2θ = 47.18°, 1.926 Å, intensity 19.3
- 2θ = 60.54°, 1.529 Å, intensity 20.1
- 2θ = 61.25°, 1.513 Å, intensity 16.3

Structural model:
```
data_Zr2Be3
_chemical_formula_sum 'Zr4 Be6'
_space_group_name_H-M_alt 'P 1'
_space_group_IT_number 1
_space_group_name_Hall 'P 1'
_cell_length_a 5.1234
_cell_length_b 5.1234
_cell_length_c 6.9181
_cell_angle_alpha 90.00
_cell_angle_beta 90.00
_cell_angle_gamma 128.47
loop_
_atom_site_label
_atom_site_fract_x
_atom_site_fract_y
_atom_site_fract_z
Zr1 0.1645 0.8355 0.9003
Zr2 0.3355 0.6645 0.4003
Zr3 0.6645 0.3355 0.5997
Zr4 0.8355 0.1645 0.0997
Be1 0.0000 0.0000 0.5000
Be2 0.1664 0.3336 0.7500
Be3 0.3336 0.1664 0.2500
Be4 0.5000 0.5000 0.0000
Be5 0.6664 0.8336 0.7500
Be6 0.8336 0.6664 0.2500
```

Record 11
Simulated X-ray diffraction stick pattern of ZrBe13 for Cu Ka, from a crystal structure in OQMD, relaxed with PBE.
No peak broadening, texture or thermal motion is included.

Top 10 peaks for 2θ from 10° to 90°, in order of rising 2θ:
- 2θ = 17.75°, 4.997 Å, intensity 80.4
- 2θ = 25.21°, 3.533 Å, intensity 100.0
- 2θ = 31.00°, 2.885 Å, intensity 46.2
- 2θ = 35.95°, 2.498 Å, intensity 23.8
- 2θ = 40.36°, 2.235 Å, intensity 79.2
- 2θ = 44.41°, 2.040 Å, intensity 71.8
- 2θ = 58.40°, 1.580 Å, intensity 27.4
- 2θ = 67.60°, 1.386 Å, intensity 17.7
- 2θ = 70.52°, 1.335 Å, intensity 28.5
- 2θ = 79.01°, 1.212 Å, intensity 20.9

Structural model:
```
data_ZrBe13
_chemical_formula_sum 'Zr2 Be26'
_space_group_name_H-M_alt 'P 1'
_space_group_IT_number 1
_space_group_name_Hall 'P 1'
_cell_length_a 7.0664
_cell_length_b 7.0664
_cell_length_c 7.0664
_cell_angle_alpha 60.00
_cell_angle_beta 60.00
_cell_angle_gamma 60.00
loop_
_atom_site_label
_atom_site_fract_x
_atom_site_fract_y
_atom_site_fract_z
Zr1 0.2500 0.2500 0.2500
Zr2 0.7500 0.7500 0.7500
Be1 0.0000 0.0000 0.0000
Be2 0.0619 0.2930 0.7070
Be3 0.0619 0.7070 0.9381
Be4 0.0619 0.9381 0.2930
Be5 0.2070 0.4381 0.7930
Be6 0.2070 0.5619 0.4381
Be7 0.2070 0.7930 0.5619
Be8 0.2930 0.0619 0.9381
Be9 0.2930 0.7070 0.0619
Be10 0.2930 0.9381 0.7070
Be11 0.4381 0.2070 0.5619
Be12 0.4381 0.5619 0.7930
Be13 0.4381 0.7930 0.2070
Be14 0.5000 0.5000 0.5000
Be15 0.5619 0.2070 0.7930
Be16 0.5619 0.4381 0.2070
Be17 0.5619 0.7930 0.4381
Be18 0.7070 0.0619 0.2930
Be19 0.7070 0.2930 0.9381
Be20 0.7070 0.9381 0.0619
Be21 0.7930 0.2070 0.4381
Be22 0.7930 0.4381 0.5619
Be23 0.7930 0.5619 0.2070
Be24 0.9381 0.0619 0.7070
Be25 0.9381 0.2930 0.0619
Be26 0.9381 0.7070 0.2930
```

Record 12
Simulated X-ray diffraction stick pattern of ZrBe8 for Cu Ka, from a crystal structure in OQMD, relaxed with PBE.
No peak broadening, texture or thermal motion is included.

Top 10 peaks for 2θ from 10° to 90°, in order of rising 2θ:
- 2θ = 12.85°, 6.888 Å, intensity 100.0
- 2θ = 22.35°, 3.977 Å, intensity 30.5
- 2θ = 25.87°, 3.444 Å, intensity 10.6
- 2θ = 34.45°, 2.604 Å, intensity 21.7
- 2θ = 42.29°, 2.137 Å, intensity 11.4
- 2θ = 45.62°, 1.988 Å, intensity 9.4
- 2θ = 46.40°, 1.957 Å, intensity 8.1
- 2θ = 47.60°, 1.910 Å, intensity 7.1
- 2θ = 48.35°, 1.883 Å, intensity 11.2
- 2θ = 53.88°, 1.702 Å, intensity 9.3

Structural model:
```
data_ZrBe8
_chemical_formula_sum 'Zr1 Be8'
_space_group_name_H-M_alt 'P 1'
_space_group_IT_number 1
_space_group_name_Hall 'P 1'
_cell_length_a 7.9539
_cell_length_b 7.9539
_cell_length_c 2.2480
_cell_angle_alpha 90.00
_cell_angle_beta 90.00
_cell_angle_gamma 120.00
loop_
_atom_site_label
_atom_site_fract_x
_atom_site_fract_y
_atom_site_fract_z
Zr1 0.0000 0.0000 0.0000
Be1 0.1772 0.3544 0.5000
Be2 0.1772 0.8228 0.5000
Be3 0.3333 0.6667 0.5000
Be4 0.3544 0.1772 0.5000
Be5 0.6456 0.8228 0.5000
Be6 0.6667 0.3333 0.5000
Be7 0.8228 0.1772 0.5000
Be8 0.8228 0.6456 0.5000
```

Record 13
Simulated X-ray diffraction stick pattern of Zr4Be3 for Cu Ka, from a crystal structure in OQMD, relaxed with PBE.
No peak broadening, texture or thermal motion is included.

Top 10 peaks for 2θ from 10° to 90°, in order of rising 2θ:
- 2θ = 11.24°, 7.874 Å, intensity 25.6
- 2θ = 30.03°, 2.976 Å, intensity 16.9
- 2θ = 32.87°, 2.725 Å, intensity 100.0
- 2θ = 34.16°, 2.625 Å, intensity 95.2
- 2θ = 34.84°, 2.575 Å, intensity 26.6
- 2θ = 40.25°, 2.240 Å, intensity 30.6
- 2θ = 48.14°, 1.890 Å, intensity 28.3
- 2θ = 57.78°, 1.596 Å, intensity 20.5
- 2θ = 60.34°, 1.534 Å, intensity 18.3
- 2θ = 65.34°, 1.428 Å, intensity 33.2

Structural model:
```
data_Zr4Be3
_chemical_formula_sum 'Zr8 Be6'
_space_group_name_H-M_alt 'P 1'
_space_group_IT_number 1
_space_group_name_Hall 'P 1'
_cell_length_a 9.0921
_cell_length_b 9.0921
_cell_length_c 3.4037
_cell_angle_alpha 90.00
_cell_angle_beta 90.00
_cell_angle_gamma 120.00
loop_
_atom_site_label
_atom_site_fract_x
_atom_site_fract_y
_atom_site_fract_z
Zr1 0.0327 0.6658 0.2500
Zr2 0.3333 0.6667 0.7500
Zr3 0.3342 0.3669 0.2500
Zr4 0.3669 0.0327 0.7500
Zr5 0.6331 0.9673 0.2500
Zr6 0.6658 0.6331 0.7500
Zr7 0.6667 0.3333 0.2500
Zr8 0.9673 0.3342 0.7500
Be1 0.0171 0.8730 0.7500
Be2 0.1270 0.1441 0.7500
Be3 0.1441 0.0171 0.2500
Be4 0.8559 0.9829 0.7500
Be5 0.8730 0.8559 0.2500
Be6 0.9829 0.1270 0.2500
```